This entry pairs a crystal structure of RbLiF3 with its theoretical XRD peak list. Radiation: CuKα. Structure: a GGA-PBE-relaxed structure.

Peak list (6 most intense, 2θ = 5–70°, in order of rising 2θ)
- 2θ 21.39, rel. 60
- 2θ 30.44, rel. 69
- 2θ 37.51, rel. 100
- 2θ 43.58, rel. 54
- 2θ 54.09, rel. 28
- 2θ 63.34, rel. 32

Crystal structure
Unit cell a=4.1534 b=4.1534 c=4.1534 alpha=90.00 beta=90.00 gamma=90.00
Element x y z (fractional)
Rb: 0.0000 0.0000 0.0000
Li: 0.5000 0.5000 0.5000
F: 0.0000 0.5000 0.5000
F: 0.5000 0.0000 0.5000
F: 0.5000 0.5000 0.0000

This entry pairs a crystal structure of KLiPH2O4F with its theoretical XRD peak list. Radiation: CuKα. Structure: a GGA-PBE-relaxed structure.

Peak list (6 most intense, 2θ = 5–70°, in order of rising 2θ)
- 2θ 18.60, rel. 62
- 2θ 23.55, rel. 72
- 2θ 28.77, rel. 100
- 2θ 30.17, rel. 98
- 2θ 32.30, rel. 62
- 2θ 32.73, rel. 89

Crystal structure
Unit cell a=5.5072 b=7.5561 c=12.6184 alpha=90.00 beta=109.18 gamma=90.00
Element x y z (fractional)
K: 0.1553 0.2303 0.3449
K: 0.1553 0.2697 0.8449
K: 0.8447 0.7303 0.1551
K: 0.8447 0.7697 0.6551
Li: 0.3207 0.0420 0.6378
Li: 0.3207 0.4580 0.1378
Li: 0.6793 0.5420 0.8622
Li: 0.6793 0.9580 0.3622
P: 0.2435 0.7235 0.9483
P: 0.2435 0.7765 0.4483
P: 0.7565 0.2235 0.5517
P: 0.7565 0.2765 0.0517
H: 0.3701 0.5988 0.6556
H: 0.3701 0.9012 0.1556
H: 0.4638 0.0996 0.1567
H: 0.4638 0.4004 0.6567
H: 0.5362 0.5996 0.3433
H: 0.5362 0.9004 0.8433
H: 0.6299 0.0988 0.8444
H: 0.6299 0.4012 0.3444
O: 0.0253 0.6174 0.8684
O: 0.0253 0.8826 0.3684
O: 0.2771 0.7020 0.0731
O: 0.2771 0.7980 0.5731
O: 0.4542 0.9995 0.2064
O: 0.4542 0.5005 0.7064
O: 0.4975 0.7163 0.9239
O: 0.4975 0.7837 0.4239
O: 0.5025 0.2163 0.5761
O: 0.5025 0.2837 0.0761
O: 0.5458 0.0005 0.7936
O: 0.5458 0.4995 0.2936
O: 0.7229 0.2020 0.4269
O: 0.7229 0.2980 0.9269
O: 0.9747 0.1174 0.6316
O: 0.9747 0.3826 0.1316
F: 0.1528 0.5714 0.4221
F: 0.1528 0.9286 0.9221
F: 0.8472 0.0714 0.0779
F: 0.8472 0.4286 0.5779

This entry pairs a crystal structure of TbPmDy5Th2 with its theoretical XRD peak list. Radiation: CuKα. Structure: a GGA-PBE-relaxed structure.

Peak list (6 most intense, 2θ = 5–70°, in order of rising 2θ)
- 2θ 28.55, rel. 100
- 2θ 30.90, rel. 82
- 2θ 37.12, rel. 38
- 2θ 42.55, rel. 23
- 2θ 52.05, rel. 19
- 2θ 56.36, rel. 22

Crystal structure
Unit cell a=9.8846 b=9.8846 c=9.8846 alpha=126.84 beta=126.84 gamma=78.51
Element x y z (fractional)
Tb: 0.2500 0.7500 0.5000
Tb: 0.7500 0.2500 0.5000
Pm: 0.2500 0.2500 0.0000
Pm: 0.7500 0.7500 0.0000
Dy: 0.0000 0.0000 0.0000
Dy: 0.0703 0.5703 0.9168
Dy: 0.1536 0.0703 0.5000
Dy: 0.3464 0.8464 0.9168
Dy: 0.4297 0.3464 0.5000
Dy: 0.5000 0.5000 0.0000
Dy: 0.5703 0.6536 0.5000
Dy: 0.6536 0.1536 0.0832
Dy: 0.8464 0.9297 0.5000
Dy: 0.9297 0.4297 0.0832
Th: 0.1188 0.3812 0.5000
Th: 0.3812 0.8812 0.2623
Th: 0.6188 0.1188 0.7377
Th: 0.8812 0.6188 0.5000

This entry pairs a crystal structure of Nb4CrSe8 with its theoretical XRD peak list. Radiation: CuKα. Structure: a GGA-PBE-relaxed structure.

Peak list (6 most intense, 2θ = 5–70°, in order of rising 2θ)
- 2θ 12.81, rel. 59
- 2θ 30.26, rel. 55
- 2θ 32.32, rel. 31
- 2θ 35.51, rel. 40
- 2θ 39.61, rel. 100
- 2θ 52.42, rel. 44

Crystal structure
Unit cell a=6.9822 b=6.9822 c=13.8232 alpha=90.00 beta=90.00 gamma=120.00
Element x y z (fractional)
Nb: 0.0000 0.0000 0.0000
Nb: 0.0000 0.0000 0.5000
Nb: 0.0000 0.5000 0.0000
Nb: 0.0000 0.5000 0.5000
Nb: 0.5000 0.0000 0.0000
Nb: 0.5000 0.0000 0.5000
Nb: 0.5000 0.5000 0.0000
Nb: 0.5000 0.5000 0.5000
Cr: 0.0000 0.0000 0.2500
Cr: 0.0000 0.0000 0.7500
Se: 0.1673 0.3346 0.1230
Se: 0.1673 0.3346 0.3770
Se: 0.1673 0.8327 0.1230
Se: 0.1673 0.8327 0.3770
Se: 0.3333 0.6667 0.6209
Se: 0.3333 0.6667 0.8791
Se: 0.3346 0.1673 0.6230
Se: 0.3346 0.1673 0.8770
Se: 0.6654 0.8327 0.1230
Se: 0.6654 0.8327 0.3770
Se: 0.6667 0.3333 0.1209
Se: 0.6667 0.3333 0.3791
Se: 0.8327 0.1673 0.6230
Se: 0.8327 0.1673 0.8770
Se: 0.8327 0.6654 0.6230
Se: 0.8327 0.6654 0.8770

This entry pairs a crystal structure of Ta2PdCl with its theoretical XRD peak list. Radiation: CuKα. Structure: a GGA-PBE-relaxed structure.

Peak list (6 most intense, 2θ = 5–70°, in order of rising 2θ)
- 2θ 23.97, rel. 5
- 2θ 27.74, rel. 23
- 2θ 39.64, rel. 100
- 2θ 49.07, rel. 7
- 2θ 57.30, rel. 17
- 2θ 64.83, rel. 9

Crystal structure
Unit cell a=4.5477 b=4.5477 c=4.5477 alpha=60.00 beta=60.00 gamma=60.00
Element x y z (fractional)
Ta: 0.2500 0.2500 0.2500
Ta: 0.7500 0.7500 0.7500
Pd: 0.0000 0.0000 0.0000
Cl: 0.5000 0.5000 0.5000

This entry pairs a crystal structure of K2Ce3Br8 with its theoretical XRD peak list. Radiation: CuKα. Structure: a GGA-PBE-relaxed structure.

Peak list (6 most intense, 2θ = 5–70°, in order of rising 2θ)
- 2θ 10.70, rel. 100
- 2θ 25.84, rel. 65
- 2θ 30.57, rel. 57
- 2θ 30.94, rel. 96
- 2θ 35.11, rel. 47
- 2θ 43.83, rel. 45

Crystal structure
Unit cell a=9.4897 b=9.4897 c=7.0341 alpha=102.19 beta=102.19 gamma=52.67
Element x y z (fractional)
K: 0.2400 0.2400 0.1677
K: 0.7600 0.7600 0.8323
Ce: 0.2762 0.7238 0.5000
Ce: 0.5000 0.5000 0.0000
Ce: 0.7238 0.2762 0.5000
Br: 0.0997 0.0997 0.4095
Br: 0.1431 0.6293 0.1003
Br: 0.3707 0.8569 0.8998
Br: 0.3753 0.3753 0.6036
Br: 0.6247 0.6247 0.3964
Br: 0.6293 0.1431 0.1003
Br: 0.8569 0.3707 0.8998
Br: 0.9003 0.9003 0.5905

This entry pairs a crystal structure of La4Ti6O19 with its theoretical XRD peak list. Radiation: CuKα. Structure: a GGA-PBE-relaxed structure.

Peak list (6 most intense, 2θ = 5–70°, in order of rising 2θ)
- 2θ 24.29, rel. 100
- 2θ 31.52, rel. 50
- 2θ 37.49, rel. 23
- 2θ 42.74, rel. 71
- 2θ 56.12, rel. 21
- 2θ 62.03, rel. 25

Crystal structure
Unit cell a=7.7742 b=7.7742 c=7.7742 alpha=109.47 beta=109.47 gamma=109.47
Element x y z (fractional)
La: 0.0000 0.0000 0.6766
La: 0.0000 0.6766 0.0000
La: 0.3234 0.3234 0.3234
La: 0.6766 0.0000 0.0000
Ti: 0.1632 0.6632 0.5000
Ti: 0.3368 0.5000 0.8368
Ti: 0.5000 0.1632 0.6632
Ti: 0.5000 0.8368 0.3368
Ti: 0.6632 0.5000 0.1632
Ti: 0.8368 0.3368 0.5000
O: 0.0000 0.0000 0.0000
O: 0.0000 0.3530 0.3530
O: 0.0000 0.6470 0.6470
O: 0.0384 0.3673 0.7564
O: 0.2436 0.6109 0.2820
O: 0.2820 0.2436 0.6109
O: 0.3289 0.9616 0.7180
O: 0.3530 0.0000 0.3530
O: 0.3530 0.3530 0.0000
O: 0.3673 0.7564 0.0384
O: 0.3891 0.6327 0.6711
O: 0.6109 0.2820 0.2436
O: 0.6327 0.6711 0.3891
O: 0.6470 0.0000 0.6470
O: 0.6470 0.6470 0.0000
O: 0.6711 0.3891 0.6327
O: 0.7180 0.3289 0.9616
O: 0.7564 0.0384 0.3673
O: 0.9616 0.7180 0.3289

This entry pairs a crystal structure of Tl5Cd4Pb2 with its theoretical XRD peak list. Radiation: CuKα. Structure: a GGA-PBE-relaxed structure.

Peak list (6 most intense, 2θ = 5–70°, in order of rising 2θ)
- 2θ 28.99, rel. 100
- 2θ 30.75, rel. 76
- 2θ 31.96, rel. 39
- 2θ 32.34, rel. 40
- 2θ 36.32, rel. 48
- 2θ 39.20, rel. 46

Crystal structure
Unit cell a=11.9475 b=11.9475 c=8.4042 alpha=91.34 beta=91.34 gamma=16.10
Element x y z (fractional)
Tl: 0.0000 0.0000 0.0000
Tl: 0.3253 0.3253 0.9788
Tl: 0.3734 0.3734 0.5834
Tl: 0.6266 0.6266 0.4166
Tl: 0.6747 0.6747 0.0212
Cd: 0.1036 0.1036 0.7545
Cd: 0.4998 0.4998 0.3265
Cd: 0.5002 0.5002 0.6735
Cd: 0.8964 0.8964 0.2455
Pb: 0.2322 0.2322 0.6757
Pb: 0.7678 0.7678 0.3243

This entry pairs a crystal structure of CaCdSbI with its theoretical XRD peak list. Radiation: CuKα. Structure: a GGA-PBE-relaxed structure.

Peak list (6 most intense, 2θ = 5–70°, in order of rising 2θ)
- 2θ 5.88, rel. 100
- 2θ 22.30, rel. 49
- 2θ 25.99, rel. 40
- 2θ 29.65, rel. 51
- 2θ 34.04, rel. 32
- 2θ 38.49, rel. 69

Crystal structure
Unit cell a=15.2598 b=15.2598 c=15.2598 alpha=17.63 beta=17.63 gamma=17.63
Element x y z (fractional)
Ca: 0.0859 0.0859 0.0859
Ca: 0.9141 0.9141 0.9141
Cd: 0.3114 0.3114 0.3114
Cd: 0.6886 0.6886 0.6886
Sb: 0.3784 0.3784 0.3784
Sb: 0.6216 0.6216 0.6216
I: 0.2101 0.2101 0.2101
I: 0.7899 0.7899 0.7899